This entry pairs a crystal structure of Nd3CN5 with its theoretical X-ray diffraction stick pattern. Radiation: Cu Kα (λ = 1.5418 Å). Structure: a PBE-relaxed structure.

Most intense lines, 2θ from 5° to 70°, in order of rising 2θ:
- 2θ = 25.41°, I = 33
- 2θ = 30.99°, I = 53
- 2θ = 31.73°, I = 100
- 2θ = 34.52°, I = 31
- 2θ = 39.72°, I = 48
- 2θ = 42.57°, I = 29

Cell and atoms:
```
18
Lattice="-3.358 3.358 5.197 3.358 -3.358 5.197 3.358 3.358 -5.197" Properties=species:S:1:pos:R:3 pbc="T T T"
Nd 4.604 1.246 0.000
Nd 0.000 0.000 2.599
Nd 1.246 2.112 0.000
Nd 2.112 1.246 5.197
Nd 0.000 0.000 7.796
Nd -1.246 2.112 5.197
C 3.358 0.000 2.599
C 0.000 3.358 2.599
N 0.000 0.000 0.000
N 4.164 -0.806 1.669
N 2.551 -0.806 3.528
N 2.551 0.806 1.669
N 4.164 0.806 3.528
N 0.000 0.000 5.197
N -0.806 2.551 1.669
N 0.806 2.551 3.528
N 0.806 4.164 1.669
N -0.806 4.164 3.528
```